No. 1
Calculated X-ray powder pattern
Compound: ErAl3Ni2
Radiation: Cu Kα X-rays
Structure: DFT lattice parameters and positions (GGA-PBE)

Lattice parameters (Å, degrees): 8.9634 8.9634 4.0734 90.00 90.00 120.00
Sites, in units of the cell vectors:
Er1 0.0000 0.0000 0.0000
Er2 0.3333 0.6667 0.5000
Er3 0.6667 0.3333 0.5000
Al1 0.0000 0.2975 0.5000
Al2 0.0000 0.5000 0.0000
Al3 0.0000 0.7025 0.5000
Al4 0.2975 0.0000 0.5000
Al5 0.2975 0.2975 0.5000
Al6 0.5000 0.0000 0.0000
Al7 0.5000 0.5000 0.0000
Al8 0.7025 0.0000 0.5000
Al9 0.7025 0.7025 0.5000
Ni1 0.1819 0.3637 0.0000
Ni2 0.1819 0.8181 0.0000
Ni3 0.3637 0.1819 0.0000
Ni4 0.6363 0.8181 0.0000
Ni5 0.8181 0.1819 0.0000
Ni6 0.8181 0.6363 0.0000

Peak list (10 most intense, 2θ = 10–80°, low angle first)
2θ = 19.81°, rel. 41, (1 1 0); 2θ = 24.68°, rel. 63, (1 0 1); 2θ = 29.64°, rel. 24, (1 1 1); 2θ = 31.85°, rel. 24, (2 0 1); 2θ = 34.67°, rel. 31, (3 0 0); 2θ = 37.79°, rel. 100, (2 1 1); 2θ = 40.25°, rel. 70, (2 2 0); 2θ = 41.34°, rel. 39, (3 0 1); 2θ = 44.48°, rel. 30, (0 0 2); 2θ = 61.53°, rel. 39, (2 2 2)

No. 2
Calculated X-ray powder pattern
Compound: Er4Al24Pd9
Radiation: Cu Kα X-rays
Structure: DFT lattice parameters and positions (GGA-PBE)

Lattice parameters (Å, degrees): 7.4705 7.5131 13.2282 84.90 79.37 60.51
Sites, in units of the cell vectors:
Er1 0.0621 0.3310 0.3086
Er2 0.2679 0.9981 0.6918
Er3 0.7321 0.0019 0.3082
Er4 0.9379 0.6690 0.6914
Al1 0.0185 0.6662 0.4447
Al2 0.1182 0.6655 0.1707
Al3 0.1460 0.3332 0.0585
Al4 0.1861 0.0008 0.9410
Al5 0.1928 0.8688 0.3155
Al6 0.2311 0.6597 0.8302
Al7 0.3170 0.6678 0.5468
Al8 0.3527 0.0009 0.4449
Al9 0.3963 0.4581 0.3162
Al10 0.3972 0.3365 0.6830
Al11 0.4432 0.9942 0.1707
Al12 0.4794 0.6669 0.0607
Al13 0.5206 0.3331 0.9393
Al14 0.5568 0.0058 0.8293
Al15 0.6028 0.6635 0.3170
Al16 0.6037 0.5419 0.6838
Al17 0.6473 0.9991 0.5551
Al18 0.6831 0.3322 0.4532
Al19 0.7689 0.3403 0.1698
Al20 0.8072 0.1312 0.6845
Al21 0.8139 0.9992 0.0590
Al22 0.8540 0.6668 0.9415
Al23 0.8818 0.3345 0.8293
Al24 0.9815 0.3338 0.5553
Pd1 0.0000 0.0000 0.5000
Pd2 0.1127 0.0075 0.1386
Pd3 0.2054 0.3332 0.8611
Pd4 0.3285 0.3290 0.4997
Pd5 0.4532 0.3257 0.1375
Pd6 0.5468 0.6743 0.8625
Pd7 0.6715 0.6710 0.5003
Pd8 0.7946 0.6668 0.1389
Pd9 0.8873 0.9925 0.8614

Peak list (10 most intense, 2θ = 10–80°, low angle first)
2θ = 28.59°, rel. 100, (1 2 -2); 2θ = 28.83°, rel. 49, (2 1 3); 2θ = 29.93°, rel. 41, (1 -1 3); 2θ = 30.09°, rel. 78, (1 2 3); 2θ = 34.49°, rel. 45, (0 0 5); 2θ = 34.84°, rel. 58, (2 1 -3); 2θ = 38.33°, rel. 68, (1 2 -4); 2θ = 41.42°, rel. 73, (0 3 0); 2θ = 41.67°, rel. 93, (3 0 1); 2θ = 41.88°, rel. 70, (3 3 1)

No. 3
Calculated X-ray powder pattern
Compound: Er3Al12Ru4
Radiation: Cu Kα X-rays
Structure: DFT lattice parameters and positions (GGA-PBE)

Lattice parameters (Å, degrees): 8.7977 8.7977 9.5427 90.00 90.00 120.00
Sites, in units of the cell vectors:
Er1 0.1940 0.3879 0.2500
Er2 0.1940 0.8060 0.2500
Er3 0.3879 0.1940 0.7500
Er4 0.6121 0.8060 0.2500
Er5 0.8060 0.1940 0.7500
Er6 0.8060 0.6121 0.7500
Al1 0.0000 0.0000 0.2500
Al2 0.0000 0.0000 0.7500
Al3 0.1213 0.5606 0.7500
Al4 0.1619 0.3238 0.5776
Al5 0.1619 0.3238 0.9224
Al6 0.1619 0.8381 0.5776
Al7 0.1619 0.8381 0.9224
Al8 0.3238 0.1619 0.0776
Al9 0.3238 0.1619 0.4224
Al10 0.3333 0.6667 0.0155
Al11 0.3333 0.6667 0.4845
Al12 0.4394 0.5606 0.7500
Al13 0.4394 0.8787 0.7500
Al14 0.5606 0.1213 0.2500
Al15 0.5606 0.4394 0.2500
Al16 0.6667 0.3333 0.5155
Al17 0.6667 0.3333 0.9845
Al18 0.6762 0.8381 0.5776
Al19 0.6762 0.8381 0.9224
Al20 0.8381 0.1619 0.0776
Al21 0.8381 0.1619 0.4224
Al22 0.8381 0.6762 0.0776
Al23 0.8381 0.6762 0.4224
Al24 0.8787 0.4394 0.2500
Ru1 0.0000 0.0000 0.0000
Ru2 0.0000 0.0000 0.5000
Ru3 0.0000 0.5000 0.0000
Ru4 0.0000 0.5000 0.5000
Ru5 0.5000 0.0000 0.0000
Ru6 0.5000 0.0000 0.5000
Ru7 0.5000 0.5000 0.0000
Ru8 0.5000 0.5000 0.5000

Peak list (10 most intense, 2θ = 10–80°, low angle first)
2θ = 14.88°, rel. 44, (1 0 1); 2θ = 25.17°, rel. 62, (2 0 1); 2θ = 30.02°, rel. 100, (2 0 2); 2θ = 31.06°, rel. 22, (2 1 0); 2θ = 36.44°, rel. 36, (2 1 2); 2θ = 36.61°, rel. 35, (3 0 1); 2θ = 36.81°, rel. 68, (2 0 3); 2θ = 37.71°, rel. 37, (0 0 4); 2θ = 41.04°, rel. 83, (2 2 0); 2θ = 56.95°, rel. 37, (2 2 4)

No. 4
Calculated X-ray powder pattern
Compound: Er2Al3Si2
Radiation: Cu Kα X-rays
Structure: DFT lattice parameters and positions (GGA-PBE)

Lattice parameters (Å, degrees): 10.1404 4.0095 6.6011 90.00 100.95 90.00
Sites, in units of the cell vectors:
Er1 0.1194 0.0000 0.3227
Er2 0.3806 0.5000 0.6773
Er3 0.6194 0.5000 0.3227
Er4 0.8806 0.0000 0.6773
Al1 0.0000 0.5000 0.0000
Al2 0.1948 0.0000 0.8667
Al3 0.3052 0.5000 0.1333
Al4 0.5000 0.0000 0.0000
Al5 0.6948 0.5000 0.8667
Al6 0.8052 0.0000 0.1333
Si1 0.0935 0.5000 0.6396
Si2 0.4065 0.0000 0.3604
Si3 0.5935 0.0000 0.6396
Si4 0.9065 0.5000 0.3604

Peak list (10 most intense, 2θ = 10–80°, low angle first)
2θ = 13.66°, rel. 37, (0 0 1); 2θ = 20.33°, rel. 43, (2 0 -1); 2θ = 23.93°, rel. 50, (1 1 0); 2θ = 24.53°, rel. 45, (2 0 1); 2θ = 28.51°, rel. 75, (1 1 1); 2θ = 35.10°, rel. 41, (3 1 0); 2θ = 35.43°, rel. 100, (1 1 -2); 2θ = 35.82°, rel. 72, (3 1 -1); 2θ = 36.10°, rel. 45, (4 0 0); 2θ = 45.23°, rel. 30, (0 2 0)

No. 5
Calculated X-ray powder pattern
Compound: ErAlSi
Radiation: Cu Kα X-rays
Structure: DFT lattice parameters and positions (GGA-PBE)

Lattice parameters (Å, degrees): 4.0784 4.0784 14.4680 90.00 90.00 90.00
Sites, in units of the cell vectors:
Er1 0.0000 0.0000 0.0000
Er2 0.0000 0.5000 0.2500
Er3 0.5000 0.0000 0.7500
Er4 0.5000 0.5000 0.5000
Al1 0.0000 0.0000 0.5845
Al2 0.0000 0.5000 0.8345
Al3 0.5000 0.0000 0.3345
Al4 0.5000 0.5000 0.0845
Si1 0.0000 0.0000 0.4196
Si2 0.0000 0.5000 0.6696
Si3 0.5000 0.0000 0.1696
Si4 0.5000 0.5000 0.9196

Peak list (10 most intense, 2θ = 10–80°, low angle first)
2θ = 22.65°, rel. 47, (1 0 1); 2θ = 24.61°, rel. 28, (0 0 4); 2θ = 28.67°, rel. 54, (1 0 3); 2θ = 33.45°, rel. 100, (1 1 2); 2θ = 38.13°, rel. 42, (1 0 5); 2θ = 44.43°, rel. 29, (2 0 0); 2θ = 49.44°, rel. 20, (1 0 7); 2θ = 53.73°, rel. 19, (2 1 3); 2θ = 59.95°, rel. 22, (2 1 5); 2θ = 74.77°, rel. 20, (3 1 2)